For Li9Co7O16, a crystal structure in the Materials Project, relaxed with GGA+U gives the calculated powder diffractogram in this record (Cu Ka).
Lines closer than 0.1° are merged.

Peak list (6 most intense, 10 to 90 degrees two-theta, low angle first)
hkl 0 0 2, 2θ 18.47, d 4.803, I = 100; hkl 1 -2 0, 2θ 36.29, d 2.476, I = 14; hkl -1 2 2, 2θ 43.83, d 2.066, I = 27; hkl 2 0 2, 2θ 44.12, d 2.053, I = 26; hkl 1 2 -4, 2θ 44.30, d 2.045, I = 26; hkl 1 2 4, 2θ 63.61, d 1.463, I = 14

Cell and atoms:
```
data_Li9Co7O16
_chemical_formula_sum 'Li9 Co7 O16'
_space_group_name_H-M_alt 'P -1'
_space_group_IT_number 2
_cell_length_a 4.9985
_cell_length_b 5.7784
_cell_length_c 10.1488
_cell_angle_alpha 106.08
_cell_angle_beta 99.37
_cell_angle_gamma 90.47
loop_
_space_group_symop_operation_xyz
'x,y,z'
'-x,-y,-z'
loop_
_atom_site_label
_atom_site_type_symbol
_atom_site_fract_x
_atom_site_fract_y
_atom_site_fract_z
_atom_site_occupancy
Li1 Li 0.0000 0.0000 0.0000 1
Li2 Li 0.2454 0.8758 0.7504 1
Li3 Li 0.2462 0.3713 0.2509 1
Li4 Li 0.2473 0.3736 0.7489 1
Li5 Li 0.2475 0.8784 0.2495 1
Co1 Co 0.0000 0.0000 0.5000 1
Co2 Co 0.0000 0.5000 0.0000 1
Co3 Co 0.0000 0.5000 0.5000 1
Co4 Co 0.4948 0.7555 0.0005 1
Co5 Co 0.4966 0.2482 0.4983 1
O1 O 0.1223 0.6783 0.3864 1
O2 O 0.1241 0.1758 0.3751 1
O3 O 0.1371 0.2186 0.8958 1
O4 O 0.1441 0.6788 0.8924 1
O5 O 0.3623 0.5563 0.6161 1
O6 O 0.3631 0.5548 0.1079 1
O7 O 0.3716 0.0600 0.6202 1
O8 O 0.4008 0.0525 0.1109 1
```

---

For Mn6O5F7, a crystal structure in the Materials Project, relaxed with GGA+U gives the calculated powder diffractogram in this record (Cu Ka).
Lines closer than 0.1° are merged.

Peak list (6 most intense, 10 to 90 degrees two-theta, low angle first)
hkl 2 0 -2, 2θ 24.52, d 3.630, I = 100; hkl 0 2 0, 2θ 28.01, d 3.185, I = 77; hkl 1 1 2, 2θ 34.32, d 2.613, I = 42; hkl 3 1 0, 2θ 34.39, d 2.608, I = 41; hkl 1 1 -4, 2θ 49.74, d 1.833, I = 33; hkl 1 3 2, 2θ 53.75, d 1.705, I = 42

Cell and atoms:
```
data_Mn6O5F7
_chemical_formula_sum 'Mn12 O10 F14'
_space_group_name_H-M_alt 'C 1 2 1'
_space_group_IT_number 5
_cell_length_a 9.5491
_cell_length_b 6.3704
_cell_length_c 7.9098
_cell_angle_alpha 90.00
_cell_angle_beta 116.11
_cell_angle_gamma 90.00
loop_
_space_group_symop_operation_xyz
'x,y,z'
'-x,y,-z'
'x+1/2,y+1/2,z'
'-x+1/2,y+1/2,-z'
loop_
_atom_site_label
_atom_site_type_symbol
_atom_site_fract_x
_atom_site_fract_y
_atom_site_fract_z
_atom_site_occupancy
Mn1 Mn 0.0000 0.0000 0.0000 1
Mn2 Mn 0.0000 0.0291 0.5000 1
Mn3 Mn 0.1649 0.5289 0.6652 1
Mn4 Mn 0.1753 0.5290 0.1749 1
O1 O 0.0000 0.7045 0.0000 1
O2 O 0.1628 0.2273 0.6628 1
O3 O 0.1638 0.8320 0.6635 1
F1 F 0.0000 0.3191 0.0000 1
F2 F 0.0613 0.5254 0.3706 1
F3 F 0.1057 0.0251 0.2884 1
F4 F 0.2313 0.0222 0.0395 1
```

---

What is the formula in the first record? Li9Co7O16